Structure and simulated PXRD pattern of NdHoCuRh (DFT lattice parameters and positions (GGA-PBE); Cu Kα X-rays).

Top 10 peaks for 2θ from 10° to 80°, in order of rising 2θ:
d 3.384, intensity 193
d 2.795, intensity 1000
d 2.632, intensity 265
d 2.591, intensity 310
d 2.261, intensity 183
d 2.235, intensity 557
d 2.209, intensity 289
d 1.921, intensity 189
d 1.681, intensity 169
d 1.449, intensity 149

Cell and atoms:
```
data_NdHoCuRh
_space_group_name_H-M_alt 'A m m 2'
_space_group_IT_number 38
_cell_length_a 4.417
_cell_length_b 3.841
_cell_length_c 10.530
_cell_angle_alpha 90.00
_cell_angle_beta 90.00
_cell_angle_gamma 90.00
loop_
_space_group_symop_operation_xyz
'x,y,z'
'-x,-y,z'
'-x,y,z'
'x,-y,z'
'x,y+1/2,z+1/2'
'-x,-y+1/2,z+1/2'
'-x,y+1/2,z+1/2'
'x,-y+1/2,z+1/2'
loop_
_atom_site_label
_atom_site_type_symbol
_atom_site_fract_x
_atom_site_fract_y
_atom_site_fract_z
Nd1 Nd 0.000 0.000 0.000
Ho1 Ho 0.500 0.000 0.722
Cu1 Cu 0.500 0.000 0.430
Rh1 Rh 0.000 0.000 0.275
```